Theoretical powder diffraction line list of Hf4Zn3Mo2C3 for Cu Kα (λ = 1.5418 Å), from a structure optimized by DFT (GGA-PBE).
Kinematic intensities with the Lorentz-polarization factor, no thermal factor.

Structure:
a = 9.587 Å, b = 5.547 Å, c = 13.997 Å
α = 90.00°, β = 103.21°, γ = 90.00°
Space group C2/c (No. 15)
Unique sites:
Hf  0.116  0.078  0.097 [8 per cell]
Hf  0.215  0.087  0.403 [8 per cell]
Zn  0.000  0.147  0.750 [4 per cell]
Zn  0.135  0.447  0.248 [8 per cell]
Mo  0.062  0.414  0.925 [8 per cell]
C  0.084  0.249  0.500 [8 per cell]
C  0.250  0.250  0.000 [4 per cell]

Principal peaks in the range 10° ≤ 2θ ≤ 90°, by angle:
32.31 deg, rel. 25, (0 2 0)
32.99 deg, rel. 13, (3 1 0)
38.04 deg, rel. 100, (3 1 -4)
39.69 deg, rel. 17, (0 0 6)
52.07 deg, rel. 13, (3 1 -7)
57.59 deg, rel. 14, (3 3 -1)
70.93 deg, rel. 10, (3 1 -10)
72.23 deg, rel. 12, (6 0 -8)

Theoretical powder diffraction line list of NaBTeOs for Cu Kα (λ = 1.5418 Å), from a structure optimized by DFT (GGA-PBE).
Kinematic intensities with the Lorentz-polarization factor, no thermal factor.

Structure:
a = 6.274 Å, b = 6.274 Å, c = 6.274 Å
α = 90.00°, β = 90.00°, γ = 90.00°
Space group F-43m (No. 216)
Unique sites:
Na  0.000  0.000  0.000 [4 per cell]
B  0.250  0.250  0.750 [4 per cell]
Te  0.250  0.250  0.250 [4 per cell]
Os  0.000  0.000  0.500 [4 per cell]

Principal peaks in the range 10° ≤ 2θ ≤ 90°, by angle:
24.58 deg, rel. 84, (1 1 1)
40.67 deg, rel. 100, (2 2 0)
48.10 deg, rel. 43, (3 1 1)
58.88 deg, rel. 17, (4 0 0)
64.77 deg, rel. 18, (3 3 1)
74.02 deg, rel. 34, (4 2 2)
79.35 deg, rel. 14, (5 1 1)
88.07 deg, rel. 11, (4 4 0)

Theoretical powder diffraction line list of YHo2Cu4Si2Sn2 for Cu Kα (λ = 1.5418 Å), from a structure optimized by DFT (GGA-PBE).
Kinematic intensities with the Lorentz-polarization factor, no thermal factor.

Structure:
a = 4.307 Å, b = 6.631 Å, c = 14.315 Å
α = 90.00°, β = 90.00°, γ = 90.00°
Space group Immm (No. 71)
Unique sites:
Y  0.000  0.000  0.000 [2 per cell]
Ho  0.000  0.500  0.124 [4 per cell]
Cu  0.000  0.310  0.346 [8 per cell]
Si  0.000  0.181  0.500 [4 per cell]
Sn  0.000  0.000  0.219 [4 per cell]

Principal peaks in the range 10° ≤ 2θ ≤ 90°, by angle:
12.37 deg, rel. 16, (0 0 2)
26.89 deg, rel. 19, (0 2 0)
34.11 deg, rel. 32, (0 1 5)
34.72 deg, rel. 61, (1 2 1)
35.31 deg, rel. 100, (1 1 4)
39.14 deg, rel. 30, (1 2 3)
41.96 deg, rel. 32, (2 0 0)
55.14 deg, rel. 16, (2 1 5)

Theoretical powder diffraction line list of Zr4Nb2Sb3N3 for Cu Kα (λ = 1.5418 Å), from a structure optimized by DFT (GGA-PBE).
Kinematic intensities with the Lorentz-polarization factor, no thermal factor.

Structure:
a = 10.339 Å, b = 5.963 Å, c = 13.665 Å
α = 90.00°, β = 104.57°, γ = 90.00°
Space group C2/c (No. 15)
Unique sites:
Zr  0.112  0.088  0.087 [8 per cell]
Zr  0.222  0.081  0.412 [8 per cell]
Nb  0.054  0.419  0.922 [8 per cell]
Sb  0.000  0.097  0.750 [4 per cell]
Sb  0.159  0.425  0.250 [8 per cell]
N  0.086  0.244  0.500 [8 per cell]
N  0.250  0.250  0.000 [4 per cell]

Principal peaks in the range 10° ≤ 2θ ≤ 90°, by angle:
29.95 deg, rel. 23, (0 2 0)
36.36 deg, rel. 100, (3 1 2)
40.95 deg, rel. 14, (0 0 6)
51.55 deg, rel. 14, (0 2 6)
53.18 deg, rel. 23, (6 0 -2)
66.14 deg, rel. 16, (0 4 3)
69.24 deg, rel. 15, (3 3 5)
71.58 deg, rel. 13, (3 1 8)

Theoretical powder diffraction line list of Sr2CuAgS2F2 for Cu Kα (λ = 1.5418 Å), from a structure optimized by DFT (GGA-PBE).
Kinematic intensities with the Lorentz-polarization factor, no thermal factor.

Structure:
a = 4.018 Å, b = 4.018 Å, c = 8.840 Å
α = 90.00°, β = 90.00°, γ = 90.00°
Space group P-4m2 (No. 115)
Unique sites:
Sr  0.000  0.500  0.164 [2 per cell]
Cu  0.500  0.500  0.500 [1 per cell]
Ag  0.000  0.000  0.500 [1 per cell]
S  0.000  0.500  0.681 [2 per cell]
F  0.000  0.000  0.000 [1 per cell]
F  0.500  0.500  0.000 [1 per cell]

Principal peaks in the range 10° ≤ 2θ ≤ 90°, by angle:
10.01 deg, rel. 30, (0 0 1)
24.33 deg, rel. 25, (1 0 1)
30.06 deg, rel. 69, (1 0 2)
30.33 deg, rel. 24, (0 0 3)
33.12 deg, rel. 50, (1 1 1)
37.64 deg, rel. 100, (1 1 2)
45.13 deg, rel. 52, (2 0 0)
52.46 deg, rel. 33, (1 1 4)

Theoretical powder diffraction line list of Ho2ErCd3InGa2 for Cu Kα (λ = 1.5418 Å), from a structure optimized by DFT (GGA-PBE).
Kinematic intensities with the Lorentz-polarization factor, no thermal factor.

Structure:
a = 4.497 Å, b = 12.617 Å, c = 7.289 Å
α = 90.00°, β = 90.00°, γ = 90.00°
Space group Amm2 (No. 38)
Unique sites:
Ho  0.000  0.219  0.000 [4 per cell]
Er  0.000  0.000  0.656 [2 per cell]
Cd  0.500  0.000  0.963 [2 per cell]
Cd  0.500  0.128  0.346 [4 per cell]
In  0.000  0.000  0.219 [2 per cell]
Ga  0.500  0.167  0.719 [4 per cell]

Principal peaks in the range 10° ≤ 2θ ≤ 90°, by angle:
28.28 deg, rel. 18, (0 4 0)
31.60 deg, rel. 62, (1 3 1)
34.73 deg, rel. 100, (1 4 0)
37.71 deg, rel. 34, (0 1 3)
40.10 deg, rel. 28, (2 0 0)
42.95 deg, rel. 16, (0 3 3)
56.22 deg, rel. 21, (2 1 3)
68.04 deg, rel. 21, (1 1 5)

Theoretical powder diffraction line list of KHfAgSeS2 for Cu Kα (λ = 1.5418 Å), from a structure optimized by DFT (GGA-PBE).
Kinematic intensities with the Lorentz-polarization factor, no thermal factor.

Structure:
a = 8.176 Å, b = 3.849 Å, c = 9.865 Å
α = 90.00°, β = 109.83°, γ = 90.00°
Space group P2_1/m (No. 11)
Unique sites:
K  0.243  0.250  0.268 [2 per cell]
Hf  0.317  0.750  0.847 [2 per cell]
Ag  0.070  0.250  0.608 [2 per cell]
Se  0.282  0.750  0.569 [2 per cell]
S  0.117  0.250  0.872 [2 per cell]
S  0.456  0.750  0.126 [2 per cell]

Principal peaks in the range 10° ≤ 2θ ≤ 90°, by angle:
12.20 deg, rel. 100, (1 0 -1)
29.00 deg, rel. 11, (1 1 1)
31.98 deg, rel. 17, (2 1 -1)
32.92 deg, rel. 24, (2 1 0)
34.74 deg, rel. 12, (1 0 3)
35.97 deg, rel. 21, (1 1 -3)
40.62 deg, rel. 11, (3 1 -1)
44.83 deg, rel. 22, (2 1 -4)

Theoretical powder diffraction line list of K2Ta2Hg3S8 for Cu Kα (λ = 1.5418 Å), from a structure optimized by DFT (GGA-PBE).
Kinematic intensities with the Lorentz-polarization factor, no thermal factor.

Structure:
a = 10.181 Å, b = 8.270 Å, c = 10.461 Å
α = 90.00°, β = 103.15°, γ = 90.00°
Space group C2 (No. 5)
Unique sites:
K  0.225  0.000  0.239 [4 per cell]
Ta  0.246  0.993  0.753 [4 per cell]
Hg  0.000  0.329  0.500 [2 per cell]
Hg  0.000  0.621  0.000 [2 per cell]
Hg  0.000  0.660  0.500 [2 per cell]
S  0.062  0.830  0.729 [4 per cell]
S  0.065  0.346  0.230 [4 per cell]
S  0.225  0.151  0.569 [4 per cell]
S  0.241  0.658  0.059 [4 per cell]

Principal peaks in the range 10° ≤ 2θ ≤ 90°, by angle:
13.95 deg, rel. 67, (1 1 0)
15.33 deg, rel. 47, (1 1 -1)
17.50 deg, rel. 58, (1 1 1)
21.99 deg, rel. 80, (2 0 -2)
27.80 deg, rel. 100, (2 0 2)
28.12 deg, rel. 50, (2 2 0)
35.24 deg, rel. 42, (0 0 4)
36.24 deg, rel. 37, (4 0 0)

Theoretical powder diffraction line list of Li2Mg2AlGaPt2 for Cu Kα (λ = 1.5418 Å), from a structure optimized by DFT (GGA-PBE).
Kinematic intensities with the Lorentz-polarization factor, no thermal factor.

Structure:
a = 4.408 Å, b = 4.408 Å, c = 6.224 Å
α = 90.00°, β = 90.00°, γ = 90.00°
Space group P-4m2 (No. 115)
Unique sites:
Li  0.000  0.500  0.248 [2 per cell]
Mg  0.000  0.000  0.000 [1 per cell]
Mg  0.500  0.500  0.500 [1 per cell]
Al  0.000  0.000  0.500 [1 per cell]
Ga  0.500  0.500  0.000 [1 per cell]
Pt  0.000  0.500  0.743 [2 per cell]

Principal peaks in the range 10° ≤ 2θ ≤ 90°, by angle:
24.75 deg, rel. 100, (1 0 1)
28.65 deg, rel. 21, (1 1 0)
40.97 deg, rel. 85, (2 0 0)
48.45 deg, rel. 50, (2 1 1)
59.29 deg, rel. 10, (2 2 0)
65.27 deg, rel. 21, (3 0 1)
74.62 deg, rel. 29, (3 1 2)
79.98 deg, rel. 12, (3 2 1)

Theoretical powder diffraction line list of Dy2HoFe2CoNi6 for Cu Kα (λ = 1.5418 Å), from a structure optimized by DFT (GGA-PBE).
Kinematic intensities with the Lorentz-polarization factor, no thermal factor.

Structure:
a = 4.9596 Å, b = 4.9596 Å, c = 24.2588 Å
α = 90.00°, β = 90.00°, γ = 120.00°
Space group R-3m (No. 166, hexagonal axes)
Unique sites:
Dy  0.0000  0.0000  0.1395 [6 per cell]
Ho  0.0000  0.0000  0.0000 [3 per cell]
Fe  0.0000  0.0000  0.3327 [6 per cell]
Co  0.0000  0.0000  0.5000 [3 per cell]
Ni  0.0020  0.5010  0.0813 [18 per cell]

Principal peaks in the range 10° ≤ 2θ ≤ 90°, by angle:
33.22 deg, rel. 52, (1 0 7)
36.24 deg, rel. 88, (1 1 0)
42.25 deg, rel. 39, (0 2 1)
42.78 deg, rel. 100, (1 1 6)
46.25 deg, rel. 25, (2 0 5)
65.17 deg, rel. 23, (3 0 0)
69.70 deg, rel. 33, (2 0 14)
76.89 deg, rel. 20, (2 2 0)

Theoretical powder diffraction line list of AlCuCl6 for Cu Kα (λ = 1.5418 Å), from a structure optimized by DFT (GGA-PBE).
Kinematic intensities with the Lorentz-polarization factor, no thermal factor.

Structure:
a = 9.050 Å, b = 9.050 Å, c = 9.050 Å
α = 90.00°, β = 90.00°, γ = 90.00°
Space group F-43m (No. 216)
Unique sites:
Al  0.000  0.000  0.000 [4 per cell]
Cu  0.250  0.250  0.750 [4 per cell]
Cl  0.001  0.250  0.250 [24 per cell]

Principal peaks in the range 10° ≤ 2θ ≤ 90°, by angle:
16.97 deg, rel. 69, (1 1 1)
19.62 deg, rel. 94, (2 0 0)
32.82 deg, rel. 42, (3 1 1)
34.32 deg, rel. 64, (2 2 2)
39.84 deg, rel. 100, (4 0 0)
44.78 deg, rel. 37, (4 2 0)
57.61 deg, rel. 60, (4 4 0)
68.81 deg, rel. 19, (6 2 2)